Entry 1:
Zr4TaGe4: theoretical powder diffractogram (CuKα), based on a crystal structure in OQMD, relaxed with GGA-PBE.
Kinematic intensities with the Lorentz-polarization factor, no thermal factor.

Crystal structure
Lattice parameters (Å, degrees): 7.178 7.178 13.131 90.00 90.00 90.00
Element x y z (fractional)
Zr 0.003 0.343 0.221
Zr 0.004 0.847 0.123
Zr 0.153 0.996 0.377
Zr 0.157 0.503 0.471
Zr 0.343 0.003 0.779
Zr 0.347 0.496 0.873
Zr 0.496 0.347 0.127
Zr 0.497 0.843 0.029
Zr 0.503 0.157 0.529
Zr 0.504 0.653 0.627
Zr 0.653 0.504 0.373
Zr 0.657 0.997 0.279
Zr 0.843 0.497 0.971
Zr 0.847 0.004 0.877
Zr 0.996 0.153 0.623
Zr 0.997 0.657 0.721
Ta 0.172 0.172 0.000
Ta 0.328 0.672 0.250
Ta 0.672 0.328 0.750
Ta 0.828 0.828 0.500
Ge 0.037 0.303 0.818
Ge 0.142 0.801 0.923
Ge 0.197 0.537 0.068
Ge 0.199 0.858 0.577
Ge 0.301 0.358 0.673
Ge 0.303 0.037 0.182
Ge 0.358 0.301 0.327
Ge 0.463 0.803 0.432
Ge 0.537 0.197 0.932
Ge 0.642 0.699 0.827
Ge 0.697 0.963 0.682
Ge 0.699 0.642 0.173
Ge 0.801 0.142 0.077
Ge 0.803 0.463 0.568
Ge 0.858 0.199 0.423
Ge 0.963 0.697 0.318

Most intense lines, 10 to 80 degrees two-theta, in order of falling intensity:
- 2θ = 40.11°, I = 100.0
- 2θ = 34.65°, I = 93.4
- 2θ = 38.60°, I = 87.4
- 2θ = 36.05°, I = 82.6
- 2θ = 14.06°, I = 31.3
- 2θ = 56.89°, I = 30.5
- 2θ = 39.25°, I = 25.1
- 2θ = 74.38°, I = 23.5
- 2θ = 45.12°, I = 22.5
- 2θ = 61.68°, I = 21.2

Entry 2:
Hf2Zr4Cu3C3: theoretical powder diffractogram (CuKα), based on a crystal structure in OQMD, relaxed with GGA-PBE.
Kinematic intensities with the Lorentz-polarization factor, no thermal factor.

Crystal structure
Lattice parameters (Å, degrees): 5.774 5.774 14.076 101.70 101.70 58.86
Element x y z (fractional)
Hf 0.024 0.872 0.597
Hf 0.128 0.976 0.903
Hf 0.872 0.024 0.097
Hf 0.976 0.128 0.403
Zr 0.195 0.365 0.093
Zr 0.300 0.471 0.409
Zr 0.365 0.195 0.593
Zr 0.471 0.300 0.909
Zr 0.529 0.700 0.091
Zr 0.635 0.805 0.407
Zr 0.700 0.529 0.591
Zr 0.805 0.635 0.907
Cu 0.113 0.264 0.750
Cu 0.264 0.113 0.250
Cu 0.344 0.656 0.250
Cu 0.656 0.344 0.750
Cu 0.736 0.887 0.750
Cu 0.887 0.736 0.250
C 0.000 0.500 0.500
C 0.161 0.676 0.998
C 0.324 0.839 0.502
C 0.500 0.000 0.000
C 0.676 0.161 0.498
C 0.839 0.324 0.002

Most intense lines, 10 to 80 degrees two-theta, in order of falling intensity:
- 2θ = 36.77°, I = 100.0
- 2θ = 36.93°, I = 96.7
- 2θ = 37.32°, I = 67.0
- 2θ = 39.50°, I = 48.1
- 2θ = 55.81°, I = 35.8
- 2θ = 30.98°, I = 26.8
- 2θ = 18.09°, I = 26.3
- 2θ = 69.38°, I = 24.2
- 2θ = 54.76°, I = 22.6
- 2θ = 32.22°, I = 20.5